1.
Calculated powder X-ray diffraction pattern of Rb3TmF6 for Cu Kα, 1.54184 Å, from a PBE-relaxed structure.
No peak broadening, texture or thermal motion is included.

Atomic structure:
a = 9.6136 Å, b = 9.6136 Å, c = 9.6136 Å
α = 90.00°, β = 90.00°, γ = 90.00°
Space group Fm-3m (No. 225)
Asymmetric unit:
1 Rb 0.0000 0.0000 0.0000 (multiplicity 4)
2 Rb 0.2500 0.2500 0.2500 (multiplicity 8)
3 Tm 0.0000 0.0000 0.5000 (multiplicity 4)
4 F 0.0000 0.0000 0.2773 (multiplicity 24)

Main lines, in order of rising 2θ (2θ from 15° to 90°):
| two_theta | I_rel | h k l |
| --- | --- | --- |
| 15.97 | 14 | 1 1 1 |
| 18.46 | 12 | 2 0 0 |
| 26.22 | 100 | 2 2 0 |
| 37.42 | 37 | 4 0 0 |
| 46.26 | 41 | 4 2 2 |
| 53.95 | 23 | 4 4 0 |
| 60.95 | 21 | 6 2 0 |
| 67.50 | 7 | 4 4 4 |
| 73.75 | 23 | 6 4 2 |
| 85.76 | 11 | 6 6 0 |

=====

2.
Calculated powder X-ray diffraction pattern of Rb3TmF6 for Cu Kα, 1.54184 Å, from a PBE-relaxed structure.
No peak broadening, texture or thermal motion is included.

Atomic structure:
a = 7.1441 Å, b = 7.1441 Å, c = 9.5395 Å
α = 90.00°, β = 90.00°, γ = 90.00°
Space group I4/mmm (No. 139)
Asymmetric unit:
1 Rb 0.0000 0.0000 0.0000 (multiplicity 2)
2 Rb 0.0000 0.5000 0.2500 (multiplicity 4)
3 Tm 0.0000 0.0000 0.5000 (multiplicity 2)
4 F 0.0000 0.0000 0.2723 (multiplicity 4)
5 F 0.0000 0.2988 0.5000 (multiplicity 8)

Main lines, in order of rising 2θ (2θ from 15° to 90°):
| two_theta | I_rel | h k l |
| --- | --- | --- |
| 15.50 | 33 | 1 0 1 |
| 24.93 | 93 | 2 0 0 |
| 25.69 | 100 | 1 1 2 |
| 35.54 | 26 | 2 2 0 |
| 37.72 | 20 | 0 0 4 |
| 44.37 | 58 | 3 1 2 |
| 45.74 | 34 | 2 0 4 |
| 52.79 | 16 | 2 2 4 |
| 58.09 | 16 | 3 3 2 |
| 71.02 | 16 | 4 2 4 |

=====

3.
Calculated powder X-ray diffraction pattern of Rb3UF6 for Cu Kα, 1.54184 Å, from a PBE-relaxed structure.
No peak broadening, texture or thermal motion is included.

Atomic structure:
a = 7.3265 Å, b = 7.3265 Å, c = 9.8119 Å
α = 90.00°, β = 90.00°, γ = 90.00°
Space group I4/mmm (No. 139)
Asymmetric unit:
1 Rb 0.0000 0.0000 0.0000 (multiplicity 2)
2 Rb 0.0000 0.5000 0.2500 (multiplicity 4)
3 U 0.0000 0.0000 0.5000 (multiplicity 2)
4 F 0.0000 0.0000 0.2696 (multiplicity 4)
5 F 0.0000 0.3064 0.5000 (multiplicity 8)

Main lines, in order of rising 2θ (2θ from 15° to 90°):
| two_theta | I_rel | h k l |
| --- | --- | --- |
| 15.09 | 53 | 1 0 1 |
| 24.30 | 90 | 2 0 0 |
| 25.00 | 100 | 1 1 2 |
| 34.63 | 27 | 2 2 0 |
| 36.63 | 19 | 0 0 4 |
| 43.18 | 59 | 3 1 2 |
| 44.45 | 34 | 2 0 4 |
| 51.30 | 17 | 2 2 4 |
| 68.93 | 17 | 4 2 4 |
| 70.47 | 17 | 3 1 6 |